Simulated X-ray powder pattern
Compound: Tb8HgRu2
Radiation: a wavelength of 1.5418 Å
Structure: a DFT-relaxed cell (PBE, Alexandria)
Peak positions follow from Bragg's law for the DFT cell and can differ from measured ones.

a b c (Å): 5.286 16.009 6.911
angles (deg): 90.00 90.00 90.00
Space group Imm2 (No. 44)
Asymmetric unit:
Tb 0.000 0.000 0.000 x2
Tb 0.000 0.110 0.462 x4
Tb 0.000 0.288 0.136 x4
Tb 0.000 0.336 0.598 x4
Tb 0.000 0.500 0.219 x2
Hg 0.000 0.500 0.794 x2
Ru 0.000 0.171 0.827 x4

Principal peaks in the range 2θ = 10–90°, most intense first:
- 30.85°, d 2.898, I 100, hkl 1 4 1
- 35.30°, d 2.543, I 90, hkl 1 3 2
- 33.92°, d 2.643, I 77, hkl 2 0 0
- 31.43°, d 2.846, I 66, hkl 1 1 2
- 32.70°, d 2.739, I 39, hkl 1 5 0
- 42.79°, d 2.113, I 32, hkl 1 0 3
- 61.17°, d 1.515, I 21, hkl 1 9 2
- 58.81°, d 1.570, I 20, hkl 3 4 1
- 40.04°, d 2.252, I 19, hkl 1 6 1
- 33.59°, d 2.668, I 19, hkl 0 6 0
- 61.59°, d 1.506, I 18, hkl 3 3 2
- 55.67°, d 1.651, I 16, hkl 2 3 3